[1]
Theoretical powder X-ray diffraction pattern of VInW for λ = 1.5418 Å (Cu Kα), from DFT lattice parameters and positions (PBE).
Lines closer than 0.1° are merged.

Cell and atoms:
Cell: 6.533 5.723 4.912 Å, 75.37 57.95 46.68°
Element x y z (fractional)
V 0.153 0.153 0.847
V 0.847 0.847 0.153
In 0.327 0.673 0.327
In 0.673 0.327 0.673
W 0.250 0.250 0.250
W 0.750 0.750 0.750

Most intense lines, 2θ from 10° to 90°, in order of falling intensity:
| two_theta | I (rel.) |
| --- | --- |
| 44.24 | 100 |
| 21.53 | 89 |
| 38.16 | 86 |
| 41.85 | 68 |
| 37.86 | 47 |
| 35.45 | 45 |



[2]
Theoretical powder X-ray diffraction pattern of CeZrNi2As2 for λ = 1.5418 Å (Cu Kα), from DFT lattice parameters and positions (PBE).
Lines closer than 0.1° are merged.

Cell and atoms:
Cell: 4.009 4.009 7.638 Å, 90.00 90.00 120.00°
Element x y z (fractional)
Ce 0.000 0.000 0.000
Zr 0.000 0.000 0.500
Ni 0.333 0.667 0.717
Ni 0.667 0.333 0.283
As 0.333 0.667 0.258
As 0.667 0.333 0.742

Most intense lines, 2θ from 10° to 90°, in order of falling intensity:
| two_theta | I (rel.) |
| --- | --- |
| 34.92 | 100 |
| 45.23 | 47 |
| 67.78 | 22 |
| 58.39 | 22 |
| 76.80 | 19 |
| 47.62 | 11 |



[3]
Theoretical powder X-ray diffraction pattern of LiHfZr2As4 for λ = 1.5418 Å (Cu Kα), from DFT lattice parameters and positions (PBE).
Lines closer than 0.1° are merged.

Cell and atoms:
Cell: 6.661 3.846 6.665 Å, 90.00 108.95 90.00°
Element x y z (fractional)
Li 0.000 0.000 0.000
Hf 0.000 0.500 0.500
Zr 0.500 0.000 0.500
Zr 0.500 0.500 0.000
As 0.243 0.000 0.752
As 0.245 0.500 0.248
As 0.755 0.500 0.752
As 0.757 0.000 0.248

Most intense lines, 2θ from 10° to 90°, in order of falling intensity:
| two_theta | I (rel.) |
| --- | --- |
| 32.82 | 100 |
| 47.26 | 89 |
| 33.04 | 49 |
| 14.05 | 23 |
| 58.59 | 19 |
| 58.88 | 18 |



[4]
Theoretical powder X-ray diffraction pattern of HoEr4Mg4 for λ = 1.5418 Å (Cu Kα), from DFT lattice parameters and positions (PBE).
Lines closer than 0.1° are merged.

Cell and atoms:
Cell: 6.882 6.882 11.400 Å, 90.00 90.00 90.00°
Element x y z (fractional)
Ho 0.250 0.750 0.250
Ho 0.750 0.250 0.750
Er 0.027 0.250 0.181
Er 0.250 0.027 0.681
Er 0.250 0.473 0.681
Er 0.473 0.250 0.181
Er 0.527 0.750 0.819
Er 0.750 0.527 0.319
Er 0.750 0.973 0.319
Er 0.973 0.750 0.819
Mg 0.025 0.250 0.472
Mg 0.250 0.025 0.972
Mg 0.250 0.475 0.972
Mg 0.475 0.250 0.472
Mg 0.525 0.750 0.528
Mg 0.750 0.525 0.028
Mg 0.750 0.975 0.028
Mg 0.975 0.750 0.528

Most intense lines, 2θ from 10° to 90°, in order of falling intensity:
| two_theta | I (rel.) |
| --- | --- |
| 30.08 | 100 |
| 35.18 | 64 |
| 15.55 | 56 |
| 20.23 | 38 |
| 34.05 | 25 |
| 58.18 | 23 |



Which formula does entry 4 have?
HoEr4Mg4



What did the fourth record say?
Theoretical powder X-ray diffraction pattern of HoEr4Mg4 for λ = 1.5418 Å (Cu Kα), from DFT lattice parameters and positions (PBE).
Lines closer than 0.1° are merged.

Cell and atoms:
Cell: 6.882 6.882 11.400 Å, 90.00 90.00 90.00°
Element x y z (fractional)
Ho 0.250 0.750 0.250
Ho 0.750 0.250 0.750
Er 0.027 0.250 0.181
Er 0.250 0.027 0.681
Er 0.250 0.473 0.681
Er 0.473 0.250 0.181
Er 0.527 0.750 0.819
Er 0.750 0.527 0.319
Er 0.750 0.973 0.319
Er 0.973 0.750 0.819
Mg 0.025 0.250 0.472
Mg 0.250 0.025 0.972
Mg 0.250 0.475 0.972
Mg 0.475 0.250 0.472
Mg 0.525 0.750 0.528
Mg 0.750 0.525 0.028
Mg 0.750 0.975 0.028
Mg 0.975 0.750 0.528

Most intense lines, 2θ from 10° to 90°, in order of falling intensity:
| two_theta | I (rel.) |
| --- | --- |
| 30.08 | 100 |
| 35.18 | 64 |
| 15.55 | 56 |
| 20.23 | 38 |
| 34.05 | 25 |
| 58.18 | 23 |